Entry 1:
For LiMnF3, a crystal structure in the Materials Project, relaxed with PBE+U gives the computed XRD peak list in this record (λ = 1.5418 Å (Cu Kα)).
Lines closer than 0.1° are merged.

Crystal structure
```
LiMnF3
1.0
-4.4936 5.9453 2.3883
4.4936 -5.9453 2.3883
4.4936 5.9453 -2.3883
Li Mn F
4 4 12
Direct
0.1140 0.2500 0.8640
0.3860 0.2500 0.1360
0.6140 0.7500 0.8640
0.8860 0.7500 0.1360
0.1052 0.6426 0.7478
0.3948 0.1426 0.5375
0.6052 0.8574 0.4625
0.8948 0.3574 0.2522
0.0735 0.8640 0.9374
0.0796 0.3978 0.4775
0.2268 0.1081 0.3349
0.2732 0.6081 0.8813
0.4204 0.8978 0.3182
0.4265 0.3640 0.7905
0.5735 0.6360 0.2095
0.5796 0.1022 0.6818
0.7268 0.3919 0.1187
0.7732 0.8919 0.6651
0.9204 0.6022 0.5225
0.9265 0.1360 0.0626
```

Top 10 peaks for 2θ from 15° to 90°, low angle first:
- 3.440 Å, I 100
- 3.156 Å, I 58
- 2.973 Å, I 27
- 2.430 Å, I 22
- 2.388 Å, I 70
- 2.247 Å, I 43
- 1.982 Å, I 21
- 1.862 Å, I 21
- 1.636 Å, I 33
- 1.619 Å, I 23

***

Entry 2:
For LiMn2F5, a crystal structure in the Materials Project, relaxed with PBE+U gives the computed XRD peak list in this record (λ = 1.5418 Å (Cu Kα)).
Lines closer than 0.1° are merged.

Crystal structure
```
LiMn2F5
1.0
6.5041 0.0000 0.0000
-1.5648 7.8507 0.0000
-0.1658 -2.6040 8.5680
Li Mn F
4 8 20
Direct
0.1818 0.2848 0.3408
0.2861 0.7115 0.9460
0.7139 0.2885 0.0540
0.8182 0.7152 0.6592
0.0421 0.6863 0.2937
0.1748 0.1201 0.9328
0.3602 0.8867 0.6197
0.4665 0.3481 0.7134
0.5335 0.6519 0.2866
0.6398 0.1133 0.3803
0.8252 0.8799 0.0672
0.9579 0.3137 0.7063
0.0519 0.7184 0.0716
0.0546 0.7319 0.5356
0.1088 0.0977 0.1514
0.1911 0.1242 0.6839
0.2343 0.4947 0.2678
0.2435 0.5048 0.7675
0.3335 0.9013 0.8517
0.3665 0.8803 0.3694
0.4342 0.2866 0.4594
0.4689 0.2936 0.9364
0.5311 0.7064 0.0636
0.5658 0.7134 0.5406
0.6335 0.1197 0.6306
0.6665 0.0987 0.1483
0.7565 0.4952 0.2325
0.7657 0.5053 0.7322
0.8089 0.8758 0.3161
0.8912 0.9023 0.8486
0.9454 0.2681 0.4644
0.9481 0.2816 0.9284
```

Top 10 peaks for 2θ from 15° to 90°, low angle first:
- 4.976 Å, I 54
- 4.928 Å, I 100
- 4.291 Å, I 24
- 3.879 Å, I 37
- 3.058 Å, I 22
- 2.239 Å, I 72
- 2.209 Å, I 67
- 2.204 Å, I 71
- 1.626 Å, I 26
- 1.586 Å, I 22

***

Entry 3:
For LiMnF3, a crystal structure in the Materials Project, relaxed with PBE+U gives the computed XRD peak list in this record (λ = 1.5418 Å (Cu Kα)).
Lines closer than 0.1° are merged.

Crystal structure
```
LiMnF3
1.0
2.6850 1.5502 4.7380
-2.6850 1.5502 4.7380
0.0000 -3.1004 4.7380
Li Mn F
2 2 6
Direct
0.1431 0.1431 0.1431
0.8569 0.8569 0.8569
0.3543 0.3543 0.3543
0.6457 0.6457 0.6457
0.0495 0.7583 0.4426
0.2417 0.5574 0.9505
0.4426 0.0495 0.7583
0.5574 0.9505 0.2417
0.7583 0.4426 0.0495
0.9505 0.2417 0.5574
```

Top 10 peaks for 2θ from 15° to 90°, low angle first:
- 4.738 Å, I 53
- 4.420 Å, I 53
- 3.891 Å, I 23
- 2.824 Å, I 41
- 2.685 Å, I 17
- 2.336 Å, I 100
- 1.946 Å, I 25
- 1.776 Å, I 42
- 1.576 Å, I 19
- 1.550 Å, I 32

***

Entry 4:
For LiMnF5, a crystal structure in the Materials Project, relaxed with PBE+U gives the computed XRD peak list in this record (λ = 1.5418 Å (Cu Kα)).
Lines closer than 0.1° are merged.

Crystal structure
```
LiMnF5
1.0
-7.0968 7.0968 3.3640
7.0968 -7.0968 3.3640
7.0968 7.0968 -3.3640
Li Mn F
8 8 40
Direct
0.1166 0.8335 0.0444
0.2891 0.0722 0.4556
0.3335 0.7891 0.7169
0.4278 0.3834 0.2169
0.5722 0.6166 0.7831
0.6665 0.2109 0.2831
0.7109 0.9278 0.5444
0.8834 0.1665 0.9556
0.1761 0.1283 0.8541
0.1781 0.3239 0.4522
0.2258 0.6781 0.3541
0.3717 0.7258 0.0478
0.6283 0.2742 0.9522
0.7742 0.3219 0.6459
0.8219 0.6761 0.5478
0.8239 0.8717 0.1459
0.9998 0.2145 0.5557
0.0002 0.7855 0.4443
0.0559 0.5002 0.7148
0.0760 0.9111 0.9112
0.0829 0.9590 0.6800
0.0871 0.0015 0.1778
0.0971 0.4171 0.3761
0.1588 0.4441 0.9443
0.2113 0.7329 0.9958
0.2211 0.5971 0.1800
0.2329 0.7372 0.5217
0.2372 0.2155 0.5042
0.2845 0.2887 0.0217
0.2855 0.3412 0.7852
0.3237 0.9094 0.3222
0.3352 0.4240 0.3352
0.4094 0.5871 0.5857
0.4111 0.0000 0.8352
0.4590 0.2789 0.8761
0.4985 0.1763 0.0857
0.5000 0.1648 0.5888
0.5000 0.8352 0.4112
0.5015 0.8237 0.9143
0.5410 0.7211 0.1239
0.5889 0.0000 0.1648
0.5906 0.4129 0.4143
0.6648 0.5760 0.6648
0.6763 0.0906 0.6778
0.7145 0.6588 0.2148
0.7155 0.7113 0.9783
0.7628 0.7845 0.4958
0.7671 0.2628 0.4783
0.7789 0.4029 0.8200
0.7887 0.2671 0.0042
0.8412 0.5559 0.0557
0.9029 0.5829 0.6239
0.9129 0.9985 0.8222
0.9171 0.0410 0.3200
0.9240 0.0889 0.0888
0.9441 0.4998 0.2852
```

Top 10 peaks for 2θ from 15° to 90°, low angle first:
- 5.018 Å, I 21
- 4.617 Å, I 100
- 3.870 Å, I 19
- 3.398 Å, I 20
- 3.174 Å, I 39
- 3.040 Å, I 16
- 2.615 Å, I 13
- 2.309 Å, I 33
- 2.018 Å, I 11
- 1.587 Å, I 12

***

Entry 5:
For Li3MnF7, a crystal structure in the Materials Project, relaxed with PBE+U gives the computed XRD peak list in this record (λ = 1.5418 Å (Cu Kα)).
Lines closer than 0.1° are merged.

Crystal structure
```
Li3MnF7
1.0
3.0587 1.7659 4.5295
-3.0587 1.7659 4.5295
0.0000 -3.5319 4.5295
Li Mn F
3 1 7
Direct
0.1733 0.1733 0.6534
0.1733 0.6534 0.1733
0.6534 0.1733 0.1733
0.5516 0.5516 0.5516
0.2972 0.2972 0.2972
0.3347 0.3347 0.7599
0.3347 0.7599 0.3347
0.3376 0.7791 0.7791
0.7599 0.3347 0.3347
0.7791 0.3376 0.7791
0.7791 0.7791 0.3376
```

Top 10 peaks for 2θ from 15° to 90°, low angle first:
- 4.936 Å, I 100
- 4.530 Å, I 21
- 4.178 Å, I 62
- 2.600 Å, I 12
- 2.535 Å, I 19
- 2.468 Å, I 13
- 2.089 Å, I 40
- 1.612 Å, I 12
- 1.529 Å, I 14
- 1.430 Å, I 12

***

Copy entry 4 word for word.
For LiMnF5, a crystal structure in the Materials Project, relaxed with PBE+U gives the computed XRD peak list in this record (λ = 1.5418 Å (Cu Kα)).
Lines closer than 0.1° are merged.

Crystal structure
```
LiMnF5
1.0
-7.0968 7.0968 3.3640
7.0968 -7.0968 3.3640
7.0968 7.0968 -3.3640
Li Mn F
8 8 40
Direct
0.1166 0.8335 0.0444
0.2891 0.0722 0.4556
0.3335 0.7891 0.7169
0.4278 0.3834 0.2169
0.5722 0.6166 0.7831
0.6665 0.2109 0.2831
0.7109 0.9278 0.5444
0.8834 0.1665 0.9556
0.1761 0.1283 0.8541
0.1781 0.3239 0.4522
0.2258 0.6781 0.3541
0.3717 0.7258 0.0478
0.6283 0.2742 0.9522
0.7742 0.3219 0.6459
0.8219 0.6761 0.5478
0.8239 0.8717 0.1459
0.9998 0.2145 0.5557
0.0002 0.7855 0.4443
0.0559 0.5002 0.7148
0.0760 0.9111 0.9112
0.0829 0.9590 0.6800
0.0871 0.0015 0.1778
0.0971 0.4171 0.3761
0.1588 0.4441 0.9443
0.2113 0.7329 0.9958
0.2211 0.5971 0.1800
0.2329 0.7372 0.5217
0.2372 0.2155 0.5042
0.2845 0.2887 0.0217
0.2855 0.3412 0.7852
0.3237 0.9094 0.3222
0.3352 0.4240 0.3352
0.4094 0.5871 0.5857
0.4111 0.0000 0.8352
0.4590 0.2789 0.8761
0.4985 0.1763 0.0857
0.5000 0.1648 0.5888
0.5000 0.8352 0.4112
0.5015 0.8237 0.9143
0.5410 0.7211 0.1239
0.5889 0.0000 0.1648
0.5906 0.4129 0.4143
0.6648 0.5760 0.6648
0.6763 0.0906 0.6778
0.7145 0.6588 0.2148
0.7155 0.7113 0.9783
0.7628 0.7845 0.4958
0.7671 0.2628 0.4783
0.7789 0.4029 0.8200
0.7887 0.2671 0.0042
0.8412 0.5559 0.0557
0.9029 0.5829 0.6239
0.9129 0.9985 0.8222
0.9171 0.0410 0.3200
0.9240 0.0889 0.0888
0.9441 0.4998 0.2852
```

Top 10 peaks for 2θ from 15° to 90°, low angle first:
- 5.018 Å, I 21
- 4.617 Å, I 100
- 3.870 Å, I 19
- 3.398 Å, I 20
- 3.174 Å, I 39
- 3.040 Å, I 16
- 2.615 Å, I 13
- 2.309 Å, I 33
- 2.018 Å, I 11
- 1.587 Å, I 12